Theoretical powder diffractogram
Compound: La6Te3AsS2
Radiation: Cu Kα, 1.54184 Å
Structure: DFT lattice parameters and positions (GGA-PBE)

Cell and atoms:
```
La6Te3AsS2
1.0
3.7719 -6.5307 0.0000
3.7719 6.5307 0.0000
-2.5165 0.0000 7.3846
La Te As S
6 3 1 2
Direct
0.0906 0.4280 0.7844
0.2338 0.2338 0.2141
0.4280 0.0906 0.7844
0.5720 0.9094 0.2156
0.7662 0.7662 0.7859
0.9094 0.5720 0.2156
0.0000 0.0000 0.5000
0.3352 0.6648 0.5000
0.6648 0.3352 0.5000
0.5000 0.5000 0.0000
0.1670 0.8330 0.0000
0.8330 0.1670 0.0000
```

Top 10 peaks for 2θ from 15° to 90°, by angle:
- d 3.117, 28.64 deg, I 100
- d 2.872, 31.14 deg, I 13
- d 2.232, 40.41 deg, I 33
- d 2.177, 41.47 deg, I 38
- d 1.785, 51.18 deg, I 13
- d 1.631, 56.42 deg, I 9
- d 1.559, 59.29 deg, I 11
- d 1.408, 66.39 deg, I 11
- d 1.380, 67.90 deg, I 16
- d 1.267, 74.93 deg, I 11